This entry pairs a crystal structure of Np2MnCuS5 with its theoretical X-ray diffraction stick pattern. Radiation: Cu Kα. Structure: a crystal structure in Alexandria, relaxed with GGA-PBE.
Kinematic intensities with the Lorentz-polarization factor, no thermal factor.

Structural model:
a b c (Å): 3.776 16.041 11.031
angles (deg): 90.00 90.00 90.00
Space group Cmc2_1 (No. 36)
Symmetry-distinct sites (fractional):
1 Np 0.000 0.113 0.000 [4 per cell]
2 Np 0.000 0.127 0.615 [4 per cell]
3 Mn 0.000 0.198 0.321 [4 per cell]
4 Cu 0.000 0.435 0.766 [4 per cell]
5 S 0.000 0.044 0.375 [4 per cell]
6 S 0.000 0.290 0.977 [4 per cell]
7 S 0.000 0.307 0.659 [4 per cell]
8 S 0.000 0.355 0.313 [4 per cell]
9 S 0.000 0.498 0.087 [4 per cell]

Principal peaks in the range 2θ from 10° to 80°, by angle:
2θ (°)	I_rel
16.07	37.4
22.17	53.6
24.22	33.3
26.67	73.8
27.50	33.1
28.95	29.8
29.20	47.9
34.51	100.0
36.76	25.0
40.35	52.4
48.24	41.2
55.94	24.9